Diffraction record for Li4MnFe3B4O12. The powder XRD pattern is simulated, not measured: it uses a structure optimized by DFT (PBE+U) and CuKα.
Lines closer than 0.1° are merged.

Structure:
```
data_Li4MnFe3B4O12
_chemical_formula_sum 'Li4 Mn1 Fe3 B4 O12'
_cell_length_a 5.2412
_cell_length_b 6.0103
_cell_length_c 8.9963
_cell_angle_alpha 102.50
_cell_angle_beta 90.84
_cell_angle_gamma 113.84
_symmetry_space_group_name_H-M 'P 1'
_symmetry_Int_Tables_number 1
loop_
_symmetry_equiv_pos_as_xyz
'x,y,z'
loop_
_atom_site_label
_atom_site_type_symbol
_atom_site_fract_x
_atom_site_fract_y
_atom_site_fract_z
Li1 Li 0.0000 0.0000 0.0000
Li2 Li 0.1806 0.6450 0.9322
Li3 Li 0.4947 0.9939 0.4982
Li4 Li 0.6802 0.6468 0.4313
Mn1 Mn 0.6284 0.5493 0.7574
Fe1 Fe 0.0350 0.0821 0.6710
Fe2 Fe 0.1243 0.5503 0.2553
Fe3 Fe 0.5382 0.0827 0.1733
B1 B 0.0364 0.0651 0.3322
B2 B 0.1418 0.5825 0.5952
B3 B 0.5347 0.0612 0.8335
B4 B 0.6444 0.5823 0.0992
O1 O 0.2078 0.4959 0.7173
O2 O 0.2728 0.0127 0.3305
O3 O 0.3100 0.6172 0.4777
O4 O 0.3716 0.0253 0.9525
O5 O 0.4097 0.6363 0.1038
O6 O 0.4571 0.1389 0.7108
O7 O 0.7169 0.4967 0.2199
O8 O 0.7734 0.0120 0.8313
O9 O 0.8114 0.6205 0.9815
O10 O 0.8713 0.0266 0.4503
O11 O 0.9105 0.6416 0.5979
O12 O 0.9605 0.1445 0.2097
```

Largest 8 diffraction maxima, in order of rising 2θ, 2θ from 15° to 90°:
| (hkl) | 2θ (°) | Rel. int. |
| --- | --- | --- |
| 0 0 2 | 20.36 | 79 |
| 1 0 1 | 22.27 | 32 |
| -1 1 1 | 22.58 | 59 |
| 0 2 0 | 33.61 | 100 |
| 2 -1 0 | 34.24 | 56 |
| 1 -1 3 | 34.72 | 24 |
| 2 0 -2 | 41.05 | 31 |
| 0 1 -6 | 61.93 | 24 |


Diffraction record for Li2MnFeB2O6. The powder XRD pattern is simulated, not measured: it uses a structure optimized by DFT (PBE+U) and CuKα.
Lines closer than 0.1° are merged.

Structure:
```
data_Li2MnFeB2O6
_chemical_formula_sum 'Li4 Mn2 Fe2 B4 O12'
_cell_length_a 5.1662
_cell_length_b 6.1772
_cell_length_c 8.0504
_cell_angle_alpha 78.83
_cell_angle_beta 88.66
_cell_angle_gamma 87.76
_symmetry_space_group_name_H-M 'P 1'
_symmetry_Int_Tables_number 1
loop_
_symmetry_equiv_pos_as_xyz
'x,y,z'
loop_
_atom_site_label
_atom_site_type_symbol
_atom_site_fract_x
_atom_site_fract_y
_atom_site_fract_z
Li1 Li 0.0000 0.0000 0.0000
Li2 Li 0.1660 0.9503 0.6958
Li3 Li 0.4996 0.4996 0.4960
Li4 Li 0.6664 0.4504 0.1995
Mn1 Mn 0.4874 0.2317 0.8527
Mn2 Mn 0.6784 0.7187 0.8429
Fe1 Fe 0.1727 0.2185 0.3357
Fe2 Fe 0.9919 0.7304 0.3600
B1 B 0.1817 0.5652 0.0185
B2 B 0.4867 0.8819 0.1805
B3 B 0.6788 0.0687 0.5150
B4 B 0.9844 0.3853 0.6772
O1 O 0.0386 0.4751 0.1629
O2 O 0.0752 0.7284 0.8946
O3 O 0.0907 0.2218 0.8011
O4 O 0.1279 0.4757 0.5332
O5 O 0.2253 0.9491 0.1973
O6 O 0.4398 0.4927 0.0037
O7 O 0.5400 0.9824 0.6618
O8 O 0.5658 0.2272 0.3910
O9 O 0.5999 0.7235 0.3045
O10 O 0.6257 0.9680 0.0336
O11 O 0.7262 0.4576 0.6918
O12 O 0.9402 0.0009 0.4984
```

Largest 8 diffraction maxima, in order of rising 2θ, 2θ from 15° to 90°:
| (hkl) | 2θ (°) | Rel. int. |
| --- | --- | --- |
| 1 0 1 | 20.40 | 81 |
| 1 1 0 | 22.23 | 32 |
| 0 0 2 | 22.52 | 60 |
| 0 2 2 | 33.64 | 100 |
| 1 1 -2 | 34.07 | 32 |
| 2 0 0 | 34.76 | 26 |
| 2 1 -1 | 40.19 | 25 |
| 0 2 -2 | 40.91 | 34 |


Diffraction record for Li6Mn5FeB6O18. The powder XRD pattern is simulated, not measured: it uses a structure optimized by DFT (PBE+U) and CuKα.
Lines closer than 0.1° are merged.

Structure:
```
data_Li6Mn5FeB6O18
_chemical_formula_sum 'Li6 Mn5 Fe1 B6 O18'
_cell_length_a 8.2797
_cell_length_b 3.1833
_cell_length_c 14.3159
_cell_angle_alpha 90.00
_cell_angle_beta 90.04
_cell_angle_gamma 90.00
_symmetry_space_group_name_H-M 'P 1 m 1'
_symmetry_Int_Tables_number 6
loop_
_symmetry_equiv_pos_as_xyz
'x,y,z'
'x,-y,z'
loop_
_atom_site_label
_atom_site_type_symbol
_atom_site_fract_x
_atom_site_fract_y
_atom_site_fract_z
Li1 Li 0.0000 0.0000 0.0000
Li2 Li 0.0260 0.0000 0.7068
Li3 Li 0.0742 0.0000 0.3403
Li4 Li 0.5018 0.0000 0.4993
Li5 Li 0.5278 0.0000 0.2076
Li6 Li 0.5745 0.0000 0.8403
Mn1 Mn 0.1750 0.5000 0.5290
Mn2 Mn 0.1928 0.5000 0.1632
Mn3 Mn 0.2323 0.5000 0.8549
Mn4 Mn 0.6757 0.5000 0.0289
Mn5 Mn 0.6934 0.5000 0.6630
Fe1 Fe 0.7292 0.5000 0.3531
B1 B 0.3672 0.0000 0.0159
B2 B 0.3672 0.0000 0.6824
B3 B 0.3681 0.5000 0.3498
B4 B 0.8660 0.0000 0.1836
B5 B 0.8664 0.0000 0.5142
B6 B 0.8670 0.5000 0.8490
O1 O 0.0028 0.5000 0.7913
O2 O 0.0167 0.0000 0.1408
O3 O 0.0198 0.0000 0.4741
O4 O 0.2148 0.5000 0.3096
O5 O 0.2272 0.0000 0.6289
O6 O 0.2289 0.0000 0.9606
O7 O 0.3531 0.0000 0.1130
O8 O 0.3568 0.0000 0.7793
O9 O 0.3855 0.5000 0.4463
O10 O 0.5060 0.5000 0.2931
O11 O 0.5173 0.0000 0.6392
O12 O 0.5193 0.0000 0.9745
O13 O 0.7127 0.5000 0.8099
O14 O 0.7272 0.0000 0.1291
O15 O 0.7298 0.0000 0.4578
O16 O 0.8518 0.0000 0.6114
O17 O 0.8540 0.0000 0.2805
O18 O 0.8857 0.5000 0.9460
```

Largest 8 diffraction maxima, in order of rising 2θ, 2θ from 15° to 90°:
| (hkl) | 2θ (°) | Rel. int. |
| --- | --- | --- |
| 1 0 3 | 21.48 | 100 |
| 0 1 2 | 30.73 | 18 |
| 2 0 -4 | 33.08 | 18 |
| 1 1 3 | 35.59 | 82 |
| 0 0 6 | 37.67 | 33 |
| 3 1 3 | 47.60 | 29 |
| 4 1 0 | 52.79 | 26 |
| 1 1 -7 | 54.43 | 19 |


Diffraction record for Li8MnFe7B8O24. The powder XRD pattern is simulated, not measured: it uses a structure optimized by DFT (PBE+U) and CuKα.
Lines closer than 0.1° are merged.

Structure:
```
data_Li8MnFe7B8O24
_chemical_formula_sum 'Li8 Mn1 Fe7 B8 O24'
_cell_length_a 5.2289
_cell_length_b 9.0552
_cell_length_c 11.5128
_cell_angle_alpha 67.85
_cell_angle_beta 77.46
_cell_angle_gamma 89.78
_symmetry_space_group_name_H-M 'P 1'
_symmetry_Int_Tables_number 1
loop_
_symmetry_equiv_pos_as_xyz
'x,y,z'
loop_
_atom_site_label
_atom_site_type_symbol
_atom_site_fract_x
_atom_site_fract_y
_atom_site_fract_z
Li1 Li 0.0000 0.0000 0.0000
Li2 Li 0.0238 0.0401 0.2504
Li3 Li 0.2632 0.2411 0.5009
Li4 Li 0.3054 0.2749 0.7531
Li5 Li 0.4981 0.4978 0.0009
Li6 Li 0.5246 0.5371 0.2506
Li7 Li 0.7649 0.7425 0.5008
Li8 Li 0.8094 0.7764 0.7511
Mn1 Mn 0.0521 0.7166 0.2162
Fe1 Fe 0.0144 0.3503 0.9666
Fe2 Fe 0.2625 0.9258 0.4692
Fe3 Fe 0.3217 0.6272 0.7162
Fe4 Fe 0.5273 0.8504 0.9630
Fe5 Fe 0.5457 0.2129 0.2187
Fe6 Fe 0.7636 0.4273 0.4678
Fe7 Fe 0.8223 0.1322 0.7143
B1 B 0.0267 0.6791 0.9594
B2 B 0.0566 0.3874 0.2119
B3 B 0.2709 0.5970 0.4621
B4 B 0.3196 0.9667 0.7108
B5 B 0.5244 0.1794 0.9599
B6 B 0.5610 0.8916 0.2093
B7 B 0.7707 0.0978 0.4612
B8 B 0.8186 0.4682 0.7107
O1 O 0.0243 0.6223 0.4334
O2 O 0.0549 0.4394 0.7485
O3 O 0.1261 0.7897 0.9990
O4 O 0.1914 0.5683 0.9299
O5 O 0.1915 0.8550 0.6805
O6 O 0.2094 0.1102 0.6987
O7 O 0.2692 0.1784 0.9465
O8 O 0.3271 0.4062 0.1979
O9 O 0.3917 0.7021 0.5004
O10 O 0.3922 0.9917 0.2502
O11 O 0.3962 0.4666 0.4491
O12 O 0.4591 0.7712 0.1795
O13 O 0.5253 0.1240 0.4311
O14 O 0.5558 0.9375 0.7490
O15 O 0.6245 0.2892 0.0005
O16 O 0.6902 0.3553 0.6818
O17 O 0.6906 0.0697 0.9297
O18 O 0.7088 0.6118 0.6981
O19 O 0.7691 0.6762 0.9472
O20 O 0.8289 0.9126 0.1956
O21 O 0.8901 0.4879 0.2527
O22 O 0.8907 0.2013 0.5017
O23 O 0.8969 0.9680 0.4478
O24 O 0.9517 0.2695 0.1807
```

Largest 8 diffraction maxima, in order of rising 2θ, 2θ from 15° to 90°:
| (hkl) | 2θ (°) | Rel. int. |
| --- | --- | --- |
| 1 -1 0 | 19.62 | 69 |
| 1 -1 1 | 21.44 | 40 |
| 0 2 2 | 21.56 | 66 |
| 1 1 3 | 26.38 | 30 |
| 2 0 1 | 34.28 | 54 |
| -1 3 1 | 34.36 | 34 |
| 0 0 4 | 34.60 | 100 |
| 2 2 1 | 40.59 | 44 |


Diffraction record for Li2MnFeB2O6. The powder XRD pattern is simulated, not measured: it uses a structure optimized by DFT (PBE+U) and CuKα.
Lines closer than 0.1° are merged.

Structure:
```
data_Li2MnFeB2O6
_chemical_formula_sum 'Li4 Mn2 Fe2 B4 O12'
_cell_length_a 5.2629
_cell_length_b 6.0198
_cell_length_c 8.9827
_cell_angle_alpha 102.40
_cell_angle_beta 90.96
_cell_angle_gamma 113.78
_symmetry_space_group_name_H-M 'P -1'
_symmetry_Int_Tables_number 2
loop_
_symmetry_equiv_pos_as_xyz
'x,y,z'
'-x,-y,-z'
loop_
_atom_site_label
_atom_site_type_symbol
_atom_site_fract_x
_atom_site_fract_y
_atom_site_fract_z
Li1 Li 0.1531 0.1711 0.2823
Li2 Li 0.3409 0.8239 0.2151
Mn1 Mn 0.2949 0.7358 0.5452
Fe1 Fe 0.2030 0.2658 0.9611
B1 B 0.1957 0.2376 0.6193
B2 B 0.3090 0.7592 0.8853
O1 O 0.0298 0.2050 0.7373
O2 O 0.0747 0.8138 0.8867
O3 O 0.1295 0.3240 0.4970
O4 O 0.3785 0.6741 0.0070
O5 O 0.4238 0.1757 0.6160
O6 O 0.4782 0.7983 0.7692
```

Largest 8 diffraction maxima, in order of rising 2θ, 2θ from 15° to 90°:
| (hkl) | 2θ (°) | Rel. int. |
| --- | --- | --- |
| 0 0 2 | 20.38 | 81 |
| 1 0 1 | 22.21 | 33 |
| -1 1 1 | 22.52 | 60 |
| 0 2 0 | 33.53 | 100 |
| 2 -1 0 | 34.10 | 33 |
| 1 -1 3 | 34.75 | 25 |
| 2 -1 2 | 40.20 | 25 |
| 2 0 -2 | 40.89 | 34 |


Diffraction record for Li8MnFe7B8O24. The powder XRD pattern is simulated, not measured: it uses a structure optimized by DFT (PBE+U) and CuKα.
Lines closer than 0.1° are merged.

Structure:
```
data_Li8MnFe7B8O24
_chemical_formula_sum 'Li8 Mn1 Fe7 B8 O24'
_cell_length_a 5.2438
_cell_length_b 9.0422
_cell_length_c 10.3973
_cell_angle_alpha 89.01
_cell_angle_beta 89.25
_cell_angle_gamma 89.66
_symmetry_space_group_name_H-M 'P 1'
_symmetry_Int_Tables_number 1
loop_
_symmetry_equiv_pos_as_xyz
'x,y,z'
loop_
_atom_site_label
_atom_site_type_symbol
_atom_site_fract_x
_atom_site_fract_y
_atom_site_fract_z
Li1 Li 0.0000 0.0000 0.0000
Li2 Li 0.0138 0.9932 0.5018
Li3 Li 0.3273 0.3400 0.2531
Li4 Li 0.3636 0.3266 0.7505
Li5 Li 0.4990 0.4990 0.0023
Li6 Li 0.5145 0.4907 0.5003
Li7 Li 0.8273 0.8406 0.2519
Li8 Li 0.8630 0.8298 0.7509
Mn1 Mn 0.3532 0.6662 0.7195
Fe1 Fe 0.0141 0.6646 0.4665
Fe2 Fe 0.0152 0.3294 0.9688
Fe3 Fe 0.3327 0.0079 0.2153
Fe4 Fe 0.5139 0.1594 0.4657
Fe5 Fe 0.5147 0.8296 0.9689
Fe6 Fe 0.8391 0.5082 0.2181
Fe7 Fe 0.8559 0.1705 0.7180
B1 B 0.0059 0.3332 0.4596
B2 B 0.0099 0.6637 0.9620
B3 B 0.3403 0.6677 0.2102
B4 B 0.3504 0.9992 0.7116
B5 B 0.5046 0.8326 0.4592
B6 B 0.5115 0.1643 0.9610
B7 B 0.8383 0.1690 0.2102
B8 B 0.8489 0.4960 0.7090
O1 O 0.0839 0.6787 0.2481
O2 O 0.0876 0.9870 0.6981
O3 O 0.2675 0.3413 0.4468
O4 O 0.2714 0.6530 0.9334
O5 O 0.3557 0.9585 0.4307
O6 O 0.3728 0.0404 0.0017
O7 O 0.3858 0.7012 0.4984
O8 O 0.3920 0.3006 0.9478
O9 O 0.4554 0.5305 0.1977
O10 O 0.4708 0.1321 0.6806
O11 O 0.4796 0.7961 0.1818
O12 O 0.4962 0.8776 0.7521
O13 O 0.5840 0.1786 0.2492
O14 O 0.5883 0.4819 0.6955
O15 O 0.7662 0.8393 0.4464
O16 O 0.7711 0.1526 0.9313
O17 O 0.8547 0.4575 0.4291
O18 O 0.8718 0.5401 0.9999
O19 O 0.8878 0.2023 0.5005
O20 O 0.8918 0.8012 0.9488
O21 O 0.9547 0.0307 0.1980
O22 O 0.9650 0.6316 0.6795
O23 O 0.9782 0.2954 0.1800
O24 O 0.9962 0.3752 0.7500
```

Largest 8 diffraction maxima, in order of rising 2θ, 2θ from 15° to 90°:
| (hkl) | 2θ (°) | Rel. int. |
| --- | --- | --- |
| 1 -1 0 | 19.60 | 57 |
| 1 1 -1 | 21.47 | 54 |
| 0 2 -1 | 21.57 | 33 |
| 0 2 -2 | 26.32 | 30 |
| 2 0 0 | 34.22 | 53 |
| 1 -3 0 | 34.41 | 34 |
| 0 0 4 | 34.51 | 100 |
| 0 4 1 | 40.74 | 33 |